Starting from DFT lattice parameters and positions (PBE), the XRD peak list of TbNd2Ni2B2As3 was calculated for Cu Kα, 1.54184 Å.

Largest 6 diffraction maxima, in order of falling intensity, 15 to 90 degrees two-theta:
d (Å)	2θ (°)	I (rel.)
2.894	30.90	100.0
2.276	39.61	97.8
2.046	44.26	78.8
2.762	32.41	69.6
1.644	55.92	57.5
3.578	24.89	48.5

Structure:
abc: 11.422 11.422 11.422
angles: 159.36 159.36 29.35
Atoms (fractional coordinates):
Tb: 0.000 0.000 0.000
Nd: 0.358 0.358 0.000
Nd: 0.642 0.642 0.000
Ni: 0.250 0.750 0.500
Ni: 0.750 0.250 0.500
B: 0.223 0.223 0.000
B: 0.777 0.777 0.000
As: 0.129 0.129 0.000
As: 0.500 0.500 0.000
As: 0.871 0.871 0.000